1.
Starting from a PBE-relaxed structure, the X-ray diffraction stick pattern of Ac3Ga2GePd9 was calculated for Cu Kα X-rays.
Kinematic intensities with the Lorentz-polarization factor, no thermal factor.

Atomic structure:
a b c (Å): 6.6456 6.6456 8.7622
angles (deg): 90.00 90.00 120.00
Space group P-3m1 (No. 164)
Symmetry-distinct sites (fractional):
Ac (0.0000, 0.0000, 0.0000)
Ac (0.3333, 0.6667, 0.6783)
Ga (0.3333, 0.6667, 0.1825)
Ge (0.0000, 0.0000, 0.5000)
Pd (0.0000, 0.5000, 0.0000)
Pd (0.1425, 0.2850, 0.2911)

Largest 10 diffraction maxima, low angle first, 5° ≤ 2θ ≤ 70°:
2θ (°)	intensity	hkl
25.55	24	0 1 2
26.83	28	1 1 0
30.61	27	0 0 3
32.76	83	0 2 1
37.39	100	2 0 2
44.22	19	1 0 4
46.62	20	1 2 2
52.50	31	0 2 4
55.29	30	2 2 0
64.53	17	2 2 3

---

2.
Starting from a PBE-relaxed structure, the X-ray diffraction stick pattern of AcSmGaGe was calculated for Cu Kα X-rays.
Kinematic intensities with the Lorentz-polarization factor, no thermal factor.

Atomic structure:
a b c (Å): 4.198 4.561 11.675
angles (deg): 90.00 90.00 90.00
Space group Amm2 (No. 38)
Symmetry-distinct sites (fractional):
Ac (0.000, 0.000, 0.000)
Sm (0.500, 0.000, 0.722)
Ga (0.000, 0.000, 0.278)
Ge (0.500, 0.000, 0.420)

Largest 10 diffraction maxima, low angle first, 5° ≤ 2θ ≤ 70°:
2θ (°)	intensity	hkl
26.15	35	1 0 2
29.92	100	1 1 1
30.19	50	0 1 3
30.63	27	0 0 4
37.16	48	1 1 3
37.53	19	1 0 4
39.51	26	0 2 0
43.10	20	2 0 0
53.52	21	2 1 3
59.89	15	2 2 0

---

3.
Starting from a PBE-relaxed structure, the X-ray diffraction stick pattern of Ac2ZnGaGe was calculated for Cu Kα X-rays.
Kinematic intensities with the Lorentz-polarization factor, no thermal factor.

Atomic structure:
a b c (Å): 6.779 4.701 9.286
angles (deg): 90.00 93.76 90.00
Space group P2_1/m (No. 11)
Symmetry-distinct sites (fractional):
Ac (0.178, 0.250, 0.366)
Ac (0.253, 0.250, 0.903)
Zn (0.493, 0.750, 0.373)
Ga (0.307, 0.750, 0.628)
Ge (0.248, 0.750, 0.139)

Largest 10 diffraction maxima, low angle first, 5° ≤ 2θ ≤ 70°:
2θ (°)	intensity	hkl
22.54	23	1 0 -2
23.04	42	1 1 0
26.35	37	2 0 0
27.02	100	0 1 2
28.68	17	2 0 1
37.17	56	2 1 -2
38.29	35	0 2 0
38.88	28	0 0 4
39.01	41	2 1 2
55.71	19	0 2 4